This entry pairs a crystal structure of CaH with its computed X-ray diffraction stick pattern. Radiation: λ = 1.5418 Å (Cu Kα). Structure: the GGA-PBE geometry in Alexandria.
Kinematic intensities with the Lorentz-polarization factor, no thermal factor.

Cell and atoms:
Cell lengths 9.520, 9.520, 3.792 Å; angles 90.00, 90.00, 90.00 degrees
Space group P4/m (No. 83)
Inequivalent atoms, fractional coordinates:
1 Ca 0.069 0.309 0.000 (multiplicity 4)
2 Ca 0.249 0.583 0.500 (multiplicity 4)
3 H 0.128 0.547 0.000 (multiplicity 4)
4 H 0.201 0.350 0.500 (multiplicity 4)

The 10 most intense peaks (5° ≤ 2θ ≤ 70°), sorted by position:
13.15 deg, rel. 20; 25.28 deg, rel. 29; 26.48 deg, rel. 25; 29.68 deg, rel. 68; 31.59 deg, rel. 100; 42.46 deg, rel. 11; 46.02 deg, rel. 15; 49.08 deg, rel. 12; 53.88 deg, rel. 25; 57.45 deg, rel. 22